Computed powder diffractogram
Compound: Pm2ScAlPt6
Radiation: CuKα
Structure: a DFT-relaxed cell (GGA-PBE, Alexandria)
Intensities are scaled so that the largest is 100.

Cell and atoms:
a b c (Å): 8.7471 8.7471 8.7471
angles (deg): 37.72 37.72 37.72
Element x y z (fractional)
Pm  0.2047  0.2047  0.2047
Pm  0.7953  0.7953  0.7953
Sc  0.0000  0.0000  0.0000
Al  0.5000  0.5000  0.5000
Pt  0.2452  0.7437  0.7437
Pt  0.2563  0.2563  0.7548
Pt  0.2563  0.7548  0.2563
Pt  0.7437  0.2452  0.7437
Pt  0.7437  0.7437  0.2452
Pt  0.7548  0.2563  0.2563

Most intense lines, 5 to 70 degrees two-theta, in order of falling intensity:
| 2θ/deg | intensity |
| --- | --- |
| 37.5 | 100 |
| 39.7 | 87 |
| 21.9 | 75 |
| 10.9 | 38 |
| 47.7 | 28 |
| 66.1 | 25 |
| 38.8 | 24 |
| 41.4 | 22 |
| 34.7 | 17 |
| 63.1 | 13 |